PmIn3Ag8: computed PXRD pattern (λ = 1.5418 Å (Cu Kα)), based on a DFT-relaxed cell (PBE, Alexandria).

Top 12 peaks for 2θ = 5–70°, sorted by position:
2theta  I/Imax  hkl
31.99  31  1 1 0
34.35  75  0 1 3
37.11  11  2 0 0
37.52  100  1 1 2
38.39  86  2 0 1
38.75  18  0 0 4
42.06  18  0 2 2
43.18  12  1 0 4
58.54  29  1 2 3
60.70  23  0 3 2
63.02  34  0 2 5
66.89  27  2 2 0

Structure:
abc: 5.5955 5.5955 9.2950
angles: 90.00 90.00 120.00
Space group P3m1 (No. 156)
Inequivalent atoms, fractional coordinates:
Pm: 0.0000 0.0000 0.0000 x1
In: 0.0000 0.0000 0.3690 x1
In: 0.6667 0.3333 0.4992 x1
In: 0.6667 0.3333 0.8707 x1
Ag: 0.1640 0.3280 0.6807 x3
Ag: 0.3333 0.6667 0.4327 x1
Ag: 0.3333 0.6667 0.9298 x1
Ag: 0.5023 0.0046 0.1851 x3